(1)
Structure and computed powder diffraction line list of Li4VS4 (a structure optimized by DFT (PBE); Cu Kα, 1.54184 Å).

Atomic structure:
```
Li4VS4
1.0
14.2496 0.0000 0.0000
0.0000 7.7586 0.0000
0.0000 0.0000 6.1539
Li V S
16 4 16
direct
0.0000 0.0000 0.0000
0.0000 0.5000 0.0000
0.0868 0.2500 0.3696
0.1779 0.0018 0.8044
0.1779 0.4982 0.8044
0.3221 0.5018 0.3044
0.3221 0.9982 0.3044
0.4132 0.7500 0.8696
0.5000 0.0000 0.5000
0.5000 0.5000 0.5000
0.5868 0.2500 0.1304
0.6779 0.0018 0.6956
0.6779 0.4982 0.6956
0.8221 0.5018 0.1956
0.8221 0.9982 0.1956
0.9132 0.7500 0.6304
0.0871 0.7500 0.3489
0.4129 0.2500 0.8489
0.5871 0.7500 0.1511
0.9129 0.2500 0.6511
0.0624 0.2500 0.7656
0.0824 0.7500 0.7090
0.1559 0.5141 0.2185
0.1559 0.9859 0.2185
0.3441 0.0141 0.7185
0.3441 0.4859 0.7185
0.4176 0.2500 0.2090
0.4376 0.7500 0.2656
0.5624 0.2500 0.7344
0.5824 0.7500 0.7910
0.6559 0.5141 0.2815
0.6559 0.9859 0.2815
0.8441 0.0141 0.7815
0.8441 0.4859 0.7815
0.9176 0.2500 0.2910
0.9376 0.7500 0.2344
```

Most intense lines, 2θ = 10–90°, by angle:
2theta, d (Å), I (rel.), (hkl)
12.42, 7.125, 46.5, 2 0 0
16.90, 5.248, 71.8, 2 1 0
18.40, 4.821, 44.0, 0 1 1
19.06, 4.657, 35.9, 2 0 1
25.00, 3.562, 46.5, 4 0 0
26.16, 3.407, 80.9, 2 2 0
29.00, 3.079, 100.0, 0 0 2
29.98, 2.981, 52.6, 2 2 1
44.74, 2.026, 66.3, 6 2 0
54.20, 1.692, 38.7, 6 2 2



(2)
Structure and computed powder diffraction line list of Li3VS4 (a structure optimized by DFT (PBE); Cu Kα, 1.54184 Å).

Atomic structure:
```
Li3VS4
1.0
7.9389 0.0000 0.0000
0.0000 6.8143 0.0000
0.0000 0.0000 6.2352
Li V S
6 2 8
direct
0.0000 0.1619 0.0000
0.2465 0.3292 0.5026
0.2535 0.6708 0.0026
0.5000 0.8381 0.5000
0.7465 0.6708 0.0026
0.7535 0.3292 0.5026
0.0000 0.8286 0.5140
0.5000 0.1714 0.0140
0.0000 0.1296 0.4034
0.0000 0.8255 0.8610
0.2254 0.6794 0.4025
0.2746 0.3206 0.9025
0.5000 0.1745 0.3610
0.5000 0.8704 0.9034
0.7254 0.3206 0.9025
0.7746 0.6794 0.4025
```

Most intense lines, 2θ = 10–90°, by angle:
2theta, d (Å), I (rel.), (hkl)
17.15, 5.171, 88.4, 1 1 0
18.09, 4.904, 93.8, 1 0 1
19.30, 4.600, 56.1, 0 1 1
25.98, 3.430, 100.0, 2 1 0
26.15, 3.407, 51.4, 0 2 0
28.63, 3.118, 91.7, 0 0 2
29.73, 3.005, 91.3, 2 1 1
29.88, 2.990, 46.2, 0 2 1
46.04, 1.971, 65.9, 2 3 0
51.44, 1.776, 86.2, 2 1 3



(3)
Structure and computed powder diffraction line list of LiVS2 (a structure optimized by DFT (PBE); Cu Kα, 1.54184 Å).

Atomic structure:
```
LiVS2
1.0
3.5046 0.0000 0.0000
-1.7523 3.0351 0.0000
0.0000 0.0000 17.9453
Li V S
3 3 6
direct
0.0000 0.0000 0.0000
0.3333 0.6667 0.6667
0.6667 0.3333 0.3333
0.0000 0.0000 0.5000
0.3333 0.6667 0.1667
0.6667 0.3333 0.8333
0.0000 0.0000 0.2433
0.0000 0.0000 0.7567
0.3333 0.6667 0.4234
0.3333 0.6667 0.9100
0.6667 0.3333 0.0900
0.6667 0.3333 0.5766
```

Most intense lines, 2θ = 10–90°, by angle:
2theta, d (Å), I (rel.), (hkl)
14.81, 5.982, 63.9, 0 0 3
29.86, 2.993, 21.0, 1 0 1
35.72, 2.514, 100.0, 1 0 4
46.36, 1.958, 12.6, 1 0 7
50.60, 1.804, 31.8, 0 1 8
52.20, 1.752, 30.6, 1 1 0
54.57, 1.682, 10.2, 1 1 3
64.87, 1.437, 20.5, 0 2 4
85.33, 1.138, 12.4, 1 1 12
87.84, 1.111, 15.5, 2 1 4



(4)
Structure and computed powder diffraction line list of LiYS2 (a structure optimized by DFT (PBE); Cu Kα, 1.54184 Å).

Atomic structure:
```
LiYS2
1.0
3.9237 0.0000 0.0000
0.0000 3.9237 0.0000
0.0000 0.0000 5.3206
Li Y S
1 1 2
direct
0.0000 0.0000 0.0000
0.5000 0.5000 0.5000
0.0000 0.0000 0.5000
0.5000 0.5000 0.0000
```

Most intense lines, 2θ = 10–90°, by angle:
2theta, d (Å), I (rel.), (hkl)
16.66, 5.321, 71.7, 0 0 1
22.66, 3.924, 69.3, 1 0 0
32.27, 2.774, 100.0, 1 1 0
33.69, 2.660, 44.2, 0 0 2
36.53, 2.460, 39.2, 1 1 1
40.99, 2.202, 28.2, 1 0 2
46.28, 1.962, 34.1, 2 0 0
47.34, 1.920, 63.6, 1 1 2
58.45, 1.579, 32.8, 2 0 2
86.56, 1.124, 21.7, 3 1 2



(5)
Structure and computed powder diffraction line list of LiYS2 (a structure optimized by DFT (PBE); Cu Kα, 1.54184 Å).

Atomic structure:
```
LiYS2
1.0
5.4495 0.0000 0.0000
0.0000 5.4495 0.0000
0.0000 0.0000 11.1365
Li Y S
4 4 8
direct
0.0000 0.2500 0.3750
0.0000 0.7500 0.6250
0.5000 0.2500 0.1250
0.5000 0.7500 0.8750
0.0000 0.2500 0.8750
0.0000 0.7500 0.1250
0.5000 0.2500 0.6250
0.5000 0.7500 0.3750
0.0000 0.2500 0.1206
0.0000 0.2500 0.6294
0.0000 0.7500 0.3706
0.0000 0.7500 0.8794
0.5000 0.2500 0.3794
0.5000 0.2500 0.8706
0.5000 0.7500 0.1294
0.5000 0.7500 0.6206
```

Most intense lines, 2θ = 10–90°, by angle:
2theta, d (Å), I (rel.), (hkl)
18.12, 4.895, 100.0, 1 0 1
29.11, 3.068, 25.7, 1 0 3
32.15, 2.784, 40.6, 0 0 4
32.87, 2.725, 76.6, 2 0 0
37.79, 2.381, 30.0, 2 1 1
44.47, 2.037, 15.8, 2 1 3
46.64, 1.947, 53.5, 2 0 4
47.17, 1.927, 26.0, 2 2 0
58.23, 1.584, 26.7, 2 2 4
87.36, 1.116, 17.1, 4 2 4



(6)
Structure and computed powder diffraction line list of LiYS2 (a structure optimized by DFT (PBE); Cu Kα, 1.54184 Å).

Atomic structure:
```
LiYS2
1.0
3.9154 0.0000 0.0000
-1.9577 3.3909 0.0000
0.0000 0.0000 18.5545
Li Y S
3 3 6
direct
0.0000 0.0000 0.0000
0.3333 0.6667 0.6667
0.6667 0.3333 0.3333
0.0000 0.0000 0.5000
0.3333 0.6667 0.1667
0.6667 0.3333 0.8333
0.0000 0.0000 0.2503
0.0000 0.0000 0.7497
0.3333 0.6667 0.4164
0.3333 0.6667 0.9170
0.6667 0.3333 0.0830
0.6667 0.3333 0.5836
```

Most intense lines, 2θ = 10–90°, by angle:
2theta, d (Å), I (rel.), (hkl)
14.32, 6.185, 69.2, 0 0 3
26.73, 3.336, 47.7, 1 0 1
32.71, 2.737, 100.0, 1 0 4
35.87, 2.503, 21.8, 0 1 5
46.38, 1.958, 35.3, 1 1 0
47.50, 1.914, 32.8, 0 1 8
48.79, 1.866, 17.3, 1 1 3
57.91, 1.592, 17.6, 0 2 4
77.23, 1.235, 15.1, 2 1 4
78.89, 1.213, 14.0, 1 1 12



(7)
Structure and computed powder diffraction line list of Li3Sb (a structure optimized by DFT (PBE); Cu Kα, 1.54184 Å).

Atomic structure:
```
Li3Sb
1.0
6.5618 0.0000 0.0000
0.0000 6.5618 0.0000
0.0000 0.0000 6.5618
Li Sb
12 4
direct
0.0000 0.0000 0.0000
0.0000 0.5000 0.5000
0.2500 0.2500 0.2500
0.2500 0.2500 0.7500
0.2500 0.7500 0.2500
0.2500 0.7500 0.7500
0.5000 0.0000 0.5000
0.5000 0.5000 0.0000
0.7500 0.2500 0.2500
0.7500 0.2500 0.7500
0.7500 0.7500 0.2500
0.7500 0.7500 0.7500
0.0000 0.0000 0.5000
0.0000 0.5000 0.0000
0.5000 0.0000 0.0000
0.5000 0.5000 0.5000
```

Most intense lines, 2θ = 10–90°, by angle:
2theta, d (Å), I (rel.), (hkl)
23.48, 3.788, 100.0, 1 1 1
27.18, 3.281, 52.1, 2 0 0
38.82, 2.320, 55.6, 2 2 0
45.87, 1.978, 49.6, 3 1 1
48.03, 1.894, 14.4, 2 2 2
61.61, 1.505, 20.1, 3 3 1
63.39, 1.467, 18.5, 4 2 0
70.28, 1.339, 18.8, 4 2 2
75.25, 1.263, 15.0, 5 1 1
88.06, 1.109, 15.6, 5 3 1



(8)
Structure and computed powder diffraction line list of Li3Sb (a structure optimized by DFT (PBE); Cu Kα, 1.54184 Å).

Atomic structure:
```
Li3Sb
1.0
4.6900 0.0000 0.0000
-2.3450 4.0617 0.0000
0.0000 0.0000 8.3472
Li Sb
6 2
direct
0.0000 0.0000 0.2500
0.0000 0.0000 0.7500
0.3333 0.6667 0.0877
0.3333 0.6667 0.4123
0.6667 0.3333 0.5877
0.6667 0.3333 0.9123
0.3333 0.6667 0.7500
0.6667 0.3333 0.2500
```

Most intense lines, 2θ = 10–90°, by angle:
2theta, d (Å), I (rel.), (hkl)
21.29, 4.174, 34.3, 0 0 2
21.88, 4.062, 23.8, 1 0 0
24.37, 3.652, 100.0, 1 0 1
30.72, 2.911, 15.6, 1 0 2
38.39, 2.345, 28.1, 1 1 0
39.25, 2.295, 36.6, 1 0 3
44.31, 2.044, 29.5, 1 1 2
45.99, 1.973, 18.0, 2 0 1
61.41, 1.510, 14.9, 2 1 1
69.99, 1.344, 12.9, 2 1 3



(9)
Structure and computed powder diffraction line list of Li3SmSb2 (a structure optimized by DFT (PBE); Cu Kα, 1.54184 Å).

Atomic structure:
```
Li3SmSb2
1.0
4.5908 0.0000 0.0000
-2.2954 3.9758 0.0000
0.0000 0.0000 7.2787
Li Sm Sb
3 1 2
direct
0.0000 0.0000 0.0000
0.3333 0.6667 0.8530
0.6667 0.3333 0.1470
0.0000 0.0000 0.5000
0.3333 0.6667 0.2481
0.6667 0.3333 0.7519
```

Most intense lines, 2θ = 10–90°, by angle:
2theta, d (Å), I (rel.), (hkl)
12.16, 7.279, 25.5, 0 0 1
25.53, 3.489, 100.0, 1 0 1
33.38, 2.684, 60.7, 1 0 2
39.25, 2.295, 41.9, 1 1 0
43.71, 2.071, 23.7, 0 1 3
47.41, 1.918, 18.5, 0 2 1
52.45, 1.745, 16.7, 0 2 2
63.18, 1.472, 15.5, 2 1 1
65.45, 1.426, 16.6, 1 1 4
67.43, 1.389, 15.6, 2 1 2



(10)
Structure and computed powder diffraction line list of LiSnSb (a structure optimized by DFT (PBE); Cu Kα, 1.54184 Å).

Atomic structure:
```
LiSnSb
1.0
9.2000 0.0000 0.0000
-4.6000 7.9674 0.0000
0.0000 0.0000 8.3284
Li Sn Sb
8 8 8
direct
0.1723 0.3445 0.0000
0.1723 0.8277 0.0000
0.3333 0.6667 0.1408
0.3445 0.1723 0.5000
0.6555 0.8277 0.0000
0.6667 0.3333 0.6408
0.8277 0.1723 0.5000
0.8277 0.6555 0.5000
0.1676 0.3351 0.3532
0.1676 0.8324 0.3532
0.3333 0.6667 0.7748
0.3351 0.1676 0.8532
0.6649 0.8324 0.3532
0.6667 0.3333 0.2748
0.8324 0.1676 0.8532
0.8324 0.6649 0.8532
0.0000 0.0000 0.0583
0.0000 0.0000 0.5583
0.0342 0.5171 0.5626
0.4829 0.5171 0.5626
0.4829 0.9658 0.5626
0.5171 0.0342 0.0626
0.5171 0.4829 0.0626
0.9658 0.4829 0.0626
```

Most intense lines, 2θ = 10–90°, by angle:
2theta, d (Å), I (rel.), (hkl)
15.39, 5.757, 10.4, 1 0 1
22.32, 3.984, 11.9, 2 0 0
24.77, 3.594, 62.3, 2 0 1
31.07, 2.879, 100.0, 2 0 2
39.17, 2.300, 52.0, 2 2 0
39.57, 2.278, 14.8, 2 0 3
46.90, 1.937, 11.7, 4 0 1
50.81, 1.797, 21.8, 4 0 2
59.93, 1.544, 17.4, 2 2 4
65.97, 1.416, 17.3, 4 2 2



(11)
Structure and computed powder diffraction line list of SrLiSb (a structure optimized by DFT (PBE); Cu Kα, 1.54184 Å).

Atomic structure:
```
SrLiSb
1.0
8.0771 0.0000 0.0000
0.0000 4.8449 0.0000
0.0000 0.0000 8.5208
Sr Li Sb
4 4 4
direct
0.0040 0.2500 0.2064
0.4960 0.7500 0.7064
0.5040 0.2500 0.2936
0.9960 0.7500 0.7936
0.1575 0.2500 0.5749
0.3425 0.7500 0.0749
0.6575 0.2500 0.9251
0.8425 0.7500 0.4251
0.2228 0.7500 0.4057
0.2772 0.2500 0.9057
0.7228 0.7500 0.0943
0.7772 0.2500 0.5943
```

Most intense lines, 2θ = 10–90°, by angle:
2theta, d (Å), I (rel.), (hkl)
23.61, 3.768, 48.6, 1 0 2
23.83, 3.734, 77.5, 1 1 1
30.04, 2.975, 21.4, 1 1 2
30.50, 2.931, 32.4, 2 0 2
30.67, 2.915, 100.0, 2 1 1
36.68, 2.450, 46.4, 0 1 3
37.11, 2.422, 30.6, 0 2 0
44.46, 2.038, 17.8, 1 2 2
48.79, 1.867, 21.2, 2 2 2
59.32, 1.558, 20.7, 4 1 3